This entry pairs a crystal structure of Na4ZnSe3 with its calculated powder diffractogram. Radiation: Cu Kα, 1.54184 Å. Structure: a structure optimized by DFT (GGA-PBE).
No peak broadening, texture or thermal motion is included.

Most intense lines, 2θ from 10° to 80°, in order of rising 2θ:
18.9 deg, I 100
19.3 deg, I 35
21.5 deg, I 86
24.1 deg, I 73
27.9 deg, I 38
36.7 deg, I 52
38.5 deg, I 61
42.7 deg, I 38
43.8 deg, I 51
47.5 deg, I 39

Crystal structure
a = 7.852 Å, b = 7.852 Å, c = 9.999 Å
α = 110.12°, β = 110.12°, γ = 55.59°
Fractional coordinates of all 16 atoms:
Na: 0.157 0.843 0.500
Na: 0.193 0.621 0.778
Na: 0.434 0.762 0.183
Na: 0.621 0.193 0.278
Na: 0.655 0.990 0.587
Na: 0.762 0.434 0.683
Na: 0.843 0.157 0.000
Na: 0.990 0.655 0.087
Zn: 0.089 0.389 0.376
Zn: 0.389 0.089 0.876
Se: 0.058 0.081 0.293
Se: 0.081 0.058 0.793
Se: 0.399 0.403 0.023
Se: 0.403 0.399 0.523
Se: 0.736 0.818 0.826
Se: 0.818 0.736 0.326

This entry pairs a crystal structure of KYMg14O16 with its calculated powder diffractogram. Radiation: Cu Kα, 1.54184 Å. Structure: a structure optimized by DFT (GGA-PBE).
No peak broadening, texture or thermal motion is included.

Most intense lines, 2θ from 10° to 80°, in order of rising 2θ:
10.2 deg, I 10
20.0 deg, I 8
22.5 deg, I 12
35.3 deg, I 28
40.7 deg, I 100
41.6 deg, I 46
58.9 deg, I 29
59.6 deg, I 54
70.6 deg, I 10
74.7 deg, I 25

Crystal structure
a = 4.431 Å, b = 8.683 Å, c = 8.873 Å
α = 90.00°, β = 90.00°, γ = 90.00°
Fractional coordinates of all 32 atoms:
K: 0.000 0.000 0.000
Y: 0.000 0.000 0.500
Mg: 0.000 0.257 0.242
Mg: 0.000 0.257 0.758
Mg: 0.000 0.500 0.000
Mg: 0.000 0.500 0.500
Mg: 0.000 0.743 0.242
Mg: 0.000 0.743 0.758
Mg: 0.500 0.000 0.236
Mg: 0.500 0.000 0.764
Mg: 0.500 0.252 0.000
Mg: 0.500 0.262 0.500
Mg: 0.500 0.500 0.247
Mg: 0.500 0.500 0.753
Mg: 0.500 0.738 0.500
Mg: 0.500 0.748 0.000
O: 0.000 0.000 0.260
O: 0.000 0.000 0.740
O: 0.000 0.262 0.500
O: 0.000 0.276 0.000
O: 0.000 0.500 0.255
O: 0.000 0.500 0.745
O: 0.000 0.724 0.000
O: 0.000 0.738 0.500
O: 0.500 0.000 0.000
O: 0.500 0.000 0.500
O: 0.500 0.249 0.252
O: 0.500 0.249 0.748
O: 0.500 0.500 0.000
O: 0.500 0.500 0.500
O: 0.500 0.751 0.252
O: 0.500 0.751 0.748

Please write out number 1 again, unchanged.
This entry pairs a crystal structure of Na4ZnSe3 with its calculated powder diffractogram. Radiation: Cu Kα, 1.54184 Å. Structure: a structure optimized by DFT (GGA-PBE).
No peak broadening, texture or thermal motion is included.

Most intense lines, 2θ from 10° to 80°, in order of rising 2θ:
18.9 deg, I 100
19.3 deg, I 35
21.5 deg, I 86
24.1 deg, I 73
27.9 deg, I 38
36.7 deg, I 52
38.5 deg, I 61
42.7 deg, I 38
43.8 deg, I 51
47.5 deg, I 39

Crystal structure
a = 7.852 Å, b = 7.852 Å, c = 9.999 Å
α = 110.12°, β = 110.12°, γ = 55.59°
Fractional coordinates of all 16 atoms:
Na: 0.157 0.843 0.500
Na: 0.193 0.621 0.778
Na: 0.434 0.762 0.183
Na: 0.621 0.193 0.278
Na: 0.655 0.990 0.587
Na: 0.762 0.434 0.683
Na: 0.843 0.157 0.000
Na: 0.990 0.655 0.087
Zn: 0.089 0.389 0.376
Zn: 0.389 0.089 0.876
Se: 0.058 0.081 0.293
Se: 0.081 0.058 0.793
Se: 0.399 0.403 0.023
Se: 0.403 0.399 0.523
Se: 0.736 0.818 0.826
Se: 0.818 0.736 0.326